Diffraction record for AgAu2I6. The powder XRD pattern is simulated, not measured: it uses a DFT-relaxed cell (PBE, Alexandria) and Cu Kα (weighted mean of Kα1 and Kα2).
Kinematic intensities with the Lorentz-polarization factor, no thermal factor.

Atomic structure:
a = 10.286 Å, b = 10.286 Å, c = 7.509 Å
α = 99.00°, β = 99.00°, γ = 83.57°
Fractional positions:
1 Ag 0.172 0.828 0.750
2 Ag 0.828 0.172 0.250
3 Au 0.169 0.336 0.380
4 Au 0.336 0.169 0.880
5 Au 0.664 0.831 0.120
6 Au 0.831 0.664 0.620
7 I 0.013 0.697 0.929
8 I 0.025 0.701 0.426
9 I 0.299 0.975 0.074
10 I 0.303 0.987 0.571
11 I 0.359 0.369 0.685
12 I 0.369 0.359 0.185
13 I 0.631 0.641 0.815
14 I 0.641 0.631 0.315
15 I 0.697 0.013 0.429
16 I 0.701 0.025 0.926
17 I 0.975 0.299 0.574
18 I 0.987 0.303 0.071

Most intense lines, 10° ≤ 2θ ≤ 80°, sorted by position:
Position (°2θ)  I/Imax
11.8  79
13.9  37
17.7  37
20.3  100
26.4  43
32.1  25
33.8  61
35.1  56
46.6  30
48.5  38

Diffraction record for AgAu2I6. The powder XRD pattern is simulated, not measured: it uses a DFT-relaxed cell (PBE, Alexandria) and Cu Kα (weighted mean of Kα1 and Kα2).
Kinematic intensities with the Lorentz-polarization factor, no thermal factor.

Atomic structure:
a = 10.430 Å, b = 10.430 Å, c = 7.014 Å
α = 96.06°, β = 96.06°, γ = 76.66°
Fractional positions:
1 Ag 0.083 0.917 0.750
2 Ag 0.917 0.083 0.250
3 Au 0.284 0.465 0.672
4 Au 0.465 0.284 0.172
5 Au 0.535 0.716 0.828
6 Au 0.716 0.535 0.328
7 I 0.030 0.188 0.581
8 I 0.131 0.640 0.890
9 I 0.188 0.030 0.081
10 I 0.262 0.471 0.286
11 I 0.360 0.869 0.610
12 I 0.471 0.262 0.786
13 I 0.529 0.738 0.214
14 I 0.640 0.131 0.390
15 I 0.738 0.529 0.714
16 I 0.812 0.970 0.919
17 I 0.869 0.360 0.110
18 I 0.970 0.812 0.419

Most intense lines, 10° ≤ 2θ ≤ 80°, sorted by position:
Position (°2θ)  I/Imax
17.8  48
21.9  100
24.5  27
25.3  28
26.4  33
28.4  57
33.2  39
41.9  26
44.1  22
44.7  29

Diffraction record for AgAu2I4. The powder XRD pattern is simulated, not measured: it uses a DFT-relaxed cell (PBE, Alexandria) and Cu Kα (weighted mean of Kα1 and Kα2).
Kinematic intensities with the Lorentz-polarization factor, no thermal factor.

Atomic structure:
a = 6.345 Å, b = 6.345 Å, c = 6.419 Å
α = 90.00°, β = 90.00°, γ = 90.00°
Fractional positions:
1 Ag 0.000 0.000 0.000
2 Au 0.000 0.500 0.500
3 Au 0.500 0.000 0.500
4 I 0.262 0.262 0.244
5 I 0.262 0.738 0.756
6 I 0.738 0.262 0.756
7 I 0.738 0.738 0.244

Most intense lines, 10° ≤ 2θ ≤ 80°, sorted by position:
Position (°2θ)  I/Imax
13.8  12
19.8  12
24.2  100
31.5  12
40.0  53
40.2  26
47.1  17
47.5  32
63.6  13
72.9  17

Diffraction record for Ag3AuI8. The powder XRD pattern is simulated, not measured: it uses a DFT-relaxed cell (PBE, Alexandria) and Cu Kα (weighted mean of Kα1 and Kα2).
Kinematic intensities with the Lorentz-polarization factor, no thermal factor.

Atomic structure:
a = 9.432 Å, b = 9.432 Å, c = 7.525 Å
α = 112.89°, β = 112.89°, γ = 51.04°
Fractional positions:
1 Ag 0.000 0.000 0.000
2 Ag 0.000 0.500 0.500
3 Ag 0.500 0.000 0.500
4 Au 0.500 0.500 0.000
5 I 0.242 0.242 0.235
6 I 0.244 0.244 0.751
7 I 0.259 0.733 0.743
8 I 0.267 0.741 0.257
9 I 0.733 0.259 0.743
10 I 0.741 0.267 0.257
11 I 0.756 0.756 0.249
12 I 0.758 0.758 0.765

Most intense lines, 10° ≤ 2θ ≤ 80°, sorted by position:
Position (°2θ)  I/Imax
13.2  42
23.2  100
24.8  15
25.5  23
32.4  85
40.1  46
40.4  46
44.6  17
50.8  23
58.8  17

Diffraction record for In3Ag4Au2. The powder XRD pattern is simulated, not measured: it uses a DFT-relaxed cell (PBE, Alexandria) and Cu Kα (weighted mean of Kα1 and Kα2).
Kinematic intensities with the Lorentz-polarization factor, no thermal factor.

Atomic structure:
a = 5.210 Å, b = 5.230 Å, c = 7.632 Å
α = 77.14°, β = 81.73°, γ = 60.20°
Fractional positions:
1 In 0.000 0.000 0.000
2 In 0.340 0.531 0.333
3 In 0.660 0.469 0.667
4 Ag 0.010 0.207 0.335
5 Ag 0.329 0.334 0.995
6 Ag 0.671 0.666 0.005
7 Ag 0.990 0.793 0.665
8 Au 0.329 0.122 0.669
9 Au 0.671 0.878 0.331

Most intense lines, 10° ≤ 2θ ≤ 80°, sorted by position:
Position (°2θ)  I/Imax
34.4  30
35.2  29
36.2  100
37.4  54
38.1  71
38.6  57
39.5  53
39.9  62
40.6  42
61.6  40

Diffraction record for In2AgAu2. The powder XRD pattern is simulated, not measured: it uses a DFT-relaxed cell (PBE, Alexandria) and Cu Kα (weighted mean of Kα1 and Kα2).
Kinematic intensities with the Lorentz-polarization factor, no thermal factor.

Atomic structure:
a = 3.596 Å, b = 6.726 Å, c = 9.351 Å
α = 96.45°, β = 90.34°, γ = 105.23°
Fractional positions:
1 In 0.138 0.258 0.027
2 In 0.138 0.264 0.521
3 In 0.862 0.736 0.479
4 In 0.862 0.742 0.973
5 Ag 0.322 0.653 0.210
6 Ag 0.678 0.347 0.790
7 Au 0.009 0.009 0.750
8 Au 0.330 0.660 0.707
9 Au 0.670 0.340 0.293
10 Au 0.991 0.991 0.250

Most intense lines, 10° ≤ 2θ ≤ 80°, sorted by position:
Position (°2θ)  I/Imax
19.1  39
25.7  30
35.7  29
36.5  53
36.8  48
38.8  34
39.2  100
39.7  24
42.1  30
50.8  29